1.
Calculated X-ray powder pattern
Compound: Tm2TlSnPt4
Radiation: Cu Kα
Structure: a cell relaxed with PBE
Intensities are scaled so that the largest is 100.

The 8 most intense peaks (2θ from 10° to 80°), sorted by position:
2θ/deg	d_spacing	I/Imax	hkl
22.42	3.966	11	1 0 0
30.08	2.971	23	1 0 2
37.67	2.388	100	1 0 3
39.35	2.290	100	1 1 0
55.61	1.653	33	0 2 3
66.88	1.399	15	0 1 6
70.24	1.340	33	2 1 3
71.34	1.322	18	3 0 0

```
data_Tm2TlSnPt4
_chemical_formula_sum 'Tm2 Tl1 Sn1 Pt4'
_space_group_name_H-M_alt 'P -3 m 1'
_space_group_IT_number 164
_space_group_name_Hall '-P 3 2"'
_cell_length_a 4.5799
_cell_length_b 4.5799
_cell_length_c 8.9702
_cell_angle_alpha 90.00
_cell_angle_beta 90.00
_cell_angle_gamma 120.00
loop_
_atom_site_label
_atom_site_fract_x
_atom_site_fract_y
_atom_site_fract_z
Tm1 0.3333 0.6667 0.2491
Tl1 0.0000 0.0000 0.0000
Sn1 0.0000 0.0000 0.5000
Pt1 0.3333 0.6667 0.5889
Pt2 0.3333 0.6667 0.9025
```



2.
Calculated X-ray powder pattern
Compound: TmSnPt2
Radiation: Cu Kα
Structure: a cell relaxed with PBE
Intensities are scaled so that the largest is 100.

The 8 most intense peaks (2θ from 10° to 80°), sorted by position:
2θ/deg	d_spacing	I/Imax	hkl
22.61	3.933	19	1 0 0
30.18	2.961	13	1 0 2
37.72	2.385	100	1 0 3
39.70	2.271	88	1 1 0
55.91	1.644	32	2 0 3
66.75	1.401	13	1 0 6
70.74	1.332	32	2 1 3
72.04	1.311	16	3 0 0

```
data_TmSnPt2
_chemical_formula_sum 'Tm2 Sn2 Pt4'
_space_group_name_H-M_alt 'P 63/m m c'
_space_group_IT_number 194
_space_group_name_Hall '-P 6c 2c'
_cell_length_a 4.5410
_cell_length_b 4.5410
_cell_length_c 8.9983
_cell_angle_alpha 90.00
_cell_angle_beta 90.00
_cell_angle_gamma 120.00
loop_
_atom_site_label
_atom_site_fract_x
_atom_site_fract_y
_atom_site_fract_z
Tm1 0.3333 0.6667 0.2500
Sn1 0.0000 0.0000 0.0000
Pt1 0.3333 0.6667 0.5907
```



3.
Calculated X-ray powder pattern
Compound: U2SnPt2
Radiation: Cu Kα
Structure: a cell relaxed with PBE
Intensities are scaled so that the largest is 100.

The 8 most intense peaks (2θ from 10° to 80°), sorted by position:
2θ/deg	d_spacing	I/Imax	hkl
16.21	5.467	14	1 1 0
33.70	2.660	18	2 0 2
35.70	2.515	100	2 1 2
36.76	2.445	40	3 1 0
49.76	1.832	10	0 0 4
55.01	1.669	12	4 1 2
63.44	1.466	12	3 1 4
70.43	1.337	14	5 2 2

```
data_U2SnPt2
_chemical_formula_sum 'U8 Sn4 Pt8'
_space_group_name_H-M_alt 'P 42/m n m'
_space_group_IT_number 136
_space_group_name_Hall '-P 4n 2n'
_cell_length_a 7.7317
_cell_length_b 7.7317
_cell_length_c 7.3297
_cell_angle_alpha 90.00
_cell_angle_beta 90.00
_cell_angle_gamma 90.00
loop_
_atom_site_label
_atom_site_fract_x
_atom_site_fract_y
_atom_site_fract_z
U1 0.1493 0.1493 0.0000
U2 0.1882 0.1882 0.5000
Sn1 0.0000 0.5000 0.2500
Pt1 0.1328 0.8672 0.2873
```